The following is a calculated powder diffraction line list of RbEuMo2O8. It was derived from a cell relaxed with PBE+U, using Cu Kα.
Neutral-atom scattering factors, no anomalous dispersion.

Principal peaks in the range 10° ≤ 2θ ≤ 90°, most intense first:
27.3 deg, rel. 100, (2 2 0); 28.2 deg, rel. 66, (2 2 -2); 30.1 deg, rel. 31, (0 0 2); 45.7 deg, rel. 17, (0 4 2); 14.0 deg, rel. 15, (1 1 -1); 52.9 deg, rel. 14, (2 2 -4); 46.3 deg, rel. 14, (4 0 -4); 33.6 deg, rel. 11, (0 4 0); 51.3 deg, rel. 10, (2 2 2); 50.3 deg, rel. 10, (3 5 -2); 32.8 deg, rel. 10, (4 0 -2); 33.7 deg, rel. 10, (3 1 0)

Crystal structure
```
data_RbEuMo2O8
_chemical_formula_sum 'Rb4 Eu4 Mo8 O32'
_symmetry_space_group_name_H-M 'C 1 2/c 1'
_symmetry_Int_Tables_number 15
_cell_length_a 10.945
_cell_length_b 10.683
_cell_length_c 7.870
_cell_angle_alpha 90.00
_cell_angle_beta 131.10
_cell_angle_gamma 90.00
loop_
_symmetry_equiv_pos_as_xyz
'x,y,z'
'-x,-y,-z'
'-x,y,-z+1/2'
'x,-y,z+1/2'
'x+1/2,y+1/2,z'
'-x+1/2,-y+1/2,-z'
'-x+1/2,y+1/2,-z+1/2'
'x+1/2,-y+1/2,z+1/2'
loop_
_atom_site_label
_atom_site_type_symbol
_atom_site_fract_x
_atom_site_fract_y
_atom_site_fract_z
_atom_site_occupancy
Rb1 Rb 0.000 0.200 0.250 1
Eu1 Eu 0.000 0.230 0.750 1
Mo1 Mo 0.195 0.499 0.239 1
O1 O 0.025 0.394 0.974 1
O2 O 0.130 0.077 0.691 1
O3 O 0.190 0.426 0.437 1
O4 O 0.228 0.155 0.130 1
```